Starting from a crystal structure in the Materials Project, relaxed with PBE+U, the X-ray powder pattern of V4O7 was calculated for a wavelength of 1.5418 Å.
Peak positions follow from Bragg's law for the DFT cell and can differ from measured ones.

Structural model:
```
V4O7
1.0
5.8692 0.0000 0.0000
0.4673 6.2453 0.0000
1.6408 0.8344 8.2235
V O
8 14
Direct
0.1157 0.1079 0.2834
0.2600 0.5674 0.2726
0.3438 0.6946 0.5815
0.3816 0.8673 0.9074
0.6184 0.1327 0.0926
0.6562 0.3054 0.4185
0.7400 0.4326 0.7274
0.8843 0.8921 0.7166
0.0090 0.6046 0.6663
0.1653 0.8469 0.3927
0.1963 0.9196 0.7403
0.2787 0.6386 0.0649
0.2972 0.0724 0.0768
0.4039 0.2694 0.2906
0.4796 0.3919 0.6333
0.5204 0.6081 0.3667
0.5961 0.7306 0.7094
0.7028 0.9276 0.9232
0.7213 0.3614 0.9351
0.8037 0.0804 0.2597
0.8347 0.1531 0.6073
0.9910 0.3954 0.3337
```

Top 10 peaks for 2θ from 5° to 70°, sorted by position:
hkl 1 0 1, 5.193 Å, I = 56; hkl 0 1 -1, 4.733 Å, I = 100; hkl 1 1 0, 4.338 Å, I = 66; hkl 0 0 2, 4.111 Å, I = 34; hkl 1 1 -1, 3.539 Å, I = 26; hkl 0 2 -1, 2.814 Å, I = 48; hkl 1 0 3, 2.676 Å, I = 37; hkl 0 2 2, 2.608 Å, I = 29; hkl 3 1 2, 1.848 Å, I = 21; hkl -1 3 2, 1.757 Å, I = 19